Record 1
Starting from a structure optimized by DFT (PBE), the powder diffraction line list of Pa5W2N12 was simulated for Cu Kα.

Atomic structure:
```
19
Lattice="6.2174 -2.9604 0.0000 6.2174 2.9604 0.0000 -2.2020 0.0000 7.1143" Properties=species:S:1:pos:R:3 pbc="T T T"
Pa 0.0000 0.0000 0.0000
Pa 3.5428 0.0000 1.0566
Pa 2.4163 0.0000 4.7132
Pa 7.8166 0.0000 2.4011
Pa 6.6900 0.0000 6.0577
W 5.1164 1.5771 3.5571
W 5.1164 -1.5771 3.5571
N -0.6698 0.0000 2.1969
N 2.2553 1.5083 6.5844
N 3.2122 1.3541 2.9376
N 7.9776 1.5083 0.5299
N 7.0206 1.3541 4.1766
N 4.6621 0.0000 4.9374
N 5.5708 0.0000 2.1769
N 3.2122 -1.3541 2.9376
N 2.2553 -1.5083 6.5844
N 7.0206 -1.3541 4.1766
N 7.9776 -1.5083 0.5299
N 10.9026 0.0000 4.9173
```

Top 10 peaks for 2θ from 10° to 90°, low angle first:
- 27.1°, d 3.291, intensity 100
- 28.3°, d 3.152, intensity 100
- 30.1°, d 2.964, intensity 28
- 32.8°, d 2.733, intensity 18
- 33.0°, d 2.718, intensity 40
- 33.1°, d 2.707, intensity 40
- 33.8°, d 2.650, intensity 21
- 45.8°, d 1.980, intensity 18
- 48.9°, d 1.862, intensity 21
- 51.8°, d 1.765, intensity 20



Record 2
Starting from a structure optimized by DFT (PBE), the powder diffraction line list of YPa3N4 was simulated for Cu Kα.

Atomic structure:
```
16
Lattice="6.9925 0.0000 0.0000 0.0000 9.8648 0.0000 0.0000 0.0000 3.4938" Properties=species:S:1:pos:R:3 pbc="T T T"
Y 0.0000 0.0000 0.0000
Y 3.4962 4.9324 0.0000
Pa 0.0000 4.9324 0.0000
Pa 1.7481 2.4662 1.7469
Pa 1.7481 7.3986 1.7469
Pa 3.4962 0.0000 0.0000
Pa 5.2444 2.4662 1.7469
Pa 5.2444 7.3986 1.7469
N 0.0000 2.4576 0.0000
N 0.0000 7.4072 0.0000
N 1.7259 4.9324 1.7469
N 1.7704 0.0000 1.7469
N 3.4962 2.4748 0.0000
N 3.4962 7.3900 0.0000
N 5.2221 0.0000 1.7469
N 5.2666 4.9324 1.7469
```

Top 10 peaks for 2θ from 10° to 90°, low angle first:
- 15.5°, d 5.705, intensity 9
- 31.4°, d 2.852, intensity 100
- 36.4°, d 2.470, intensity 68
- 52.4°, d 1.746, intensity 48
- 62.3°, d 1.490, intensity 31
- 62.4°, d 1.488, intensity 15
- 65.5°, d 1.426, intensity 16
- 85.8°, d 1.133, intensity 13
- 88.5°, d 1.105, intensity 15
- 88.6°, d 1.103, intensity 7



Record 3
Starting from a structure optimized by DFT (PBE), the powder diffraction line list of YPa4N5 was simulated for Cu Kα.

Atomic structure:
```
10
Lattice="-3.9070 3.9070 2.4702 3.9070 -3.9070 2.4702 3.9070 3.9070 -2.4702" Properties=species:S:1:pos:R:3 pbc="T T T"
Y 0.0000 0.0000 0.0000
Pa 4.6972 1.5693 0.0000
Pa 1.5693 3.1168 0.0000
Pa 2.3377 0.7902 2.4702
Pa -0.7902 2.3377 2.4702
N 2.3475 0.7887 0.0000
N 3.1183 -1.5595 2.4702
N 0.0000 0.0000 2.4702
N 0.7887 5.4665 0.0000
N 1.5595 3.1183 2.4702
```

Top 10 peaks for 2θ from 10° to 90°, low angle first:
- 16.0°, d 5.525, intensity 4
- 21.3°, d 4.176, intensity 5
- 31.4°, d 2.853, intensity 100
- 36.4°, d 2.471, intensity 66
- 52.4°, d 1.747, intensity 47
- 62.3°, d 1.490, intensity 45
- 65.4°, d 1.426, intensity 16
- 77.2°, d 1.235, intensity 8
- 85.7°, d 1.134, intensity 20
- 88.5°, d 1.105, intensity 22